1.
Computed X-ray powder pattern
Compound: DyZn7Ag5
Radiation: Cu Kα X-rays
Structure: a GGA-PBE-relaxed structure
Kinematic intensities with the Lorentz-polarization factor, no thermal factor.

Structure:
```
data_DyZn7Ag5
_chemical_formula_sum 'Dy2 Zn14 Ag10'
_symmetry_space_group_name_H-M 'I m m 2'
_symmetry_Int_Tables_number 44
_cell_length_a 5.4534
_cell_length_b 9.2042
_cell_length_c 9.1454
_cell_angle_alpha 90.00
_cell_angle_beta 90.00
_cell_angle_gamma 90.00
loop_
_symmetry_equiv_pos_as_xyz
'x,y,z'
'-x,-y,z'
'-x,y,z'
'x,-y,z'
'x+1/2,y+1/2,z+1/2'
'-x+1/2,-y+1/2,z+1/2'
'-x+1/2,y+1/2,z+1/2'
'x+1/2,-y+1/2,z+1/2'
loop_
_atom_site_label
_atom_site_fract_x
_atom_site_fract_y
_atom_site_fract_z
Dy1 0.0000 0.0000 0.0000
Zn1 0.0000 0.0000 0.3621
Zn2 0.0000 0.0000 0.6566
Zn3 0.0000 0.2725 0.5053
Zn4 0.0000 0.3526 0.0172
Zn5 0.0000 0.5000 0.6744
Ag1 0.0000 0.5000 0.3038
Ag2 0.2477 0.2636 0.7592
```

The 12 most intense peaks (10° ≤ 2θ ≤ 90°), low angle first:
(1 1 2), 27.21°, I 15; (0 2 2), 27.50°, I 15; (1 0 3), 33.68°, I 27; (2 2 0), 38.40°, I 100; (1 2 3), 39.07°, I 88; (0 4 0), 39.15°, I 36; (0 0 4), 39.41°, I 26; (2 2 2), 43.35°, I 51; (0 2 4), 44.23°, I 20; (3 2 3), 62.83°, I 21; (4 0 0), 68.85°, I 15; (2 0 6), 70.86°, I 28

***

2.
Computed X-ray powder pattern
Compound: Pm4ScGe5
Radiation: Cu Kα X-rays
Structure: a GGA-PBE-relaxed structure
Kinematic intensities with the Lorentz-polarization factor, no thermal factor.

Structure:
```
data_Pm4ScGe5
_chemical_formula_sum 'Pm8 Sc2 Ge10'
_symmetry_space_group_name_H-M 'I 4/m'
_symmetry_Int_Tables_number 87
_symmetry_space_group_name_Hall '-I 4'
_cell_length_a 9.3718
_cell_length_b 9.3718
_cell_length_c 5.9456
_cell_angle_alpha 90.00
_cell_angle_beta 90.00
_cell_angle_gamma 90.00
loop_
_atom_site_label
_atom_site_fract_x
_atom_site_fract_y
_atom_site_fract_z
Pm1 0.0944 0.6997 0.0000
Sc1 0.0000 0.0000 0.5000
Ge1 0.0000 0.0000 0.0000
Ge2 0.0969 0.7142 0.5000
```

The 12 most intense peaks (10° ≤ 2θ ≤ 90°), low angle first:
(1 0 1), 17.67°, I 4; (1 2 1), 26.01°, I 14; (0 0 2), 30.12°, I 100; (3 1 2), 43.12°, I 74; (5 0 1), 51.09°, I 5; (2 4 2), 53.50°, I 25; (0 0 4), 62.48°, I 4; (6 2 0), 62.70°, I 8; (3 1 4), 70.93°, I 11; (6 2 2), 71.11°, I 20; (2 4 4), 78.97°, I 8; (5 5 2), 79.11°, I 15

***

3.
Computed X-ray powder pattern
Compound: Ho3PuIr4
Radiation: Cu Kα X-rays
Structure: a GGA-PBE-relaxed structure
Kinematic intensities with the Lorentz-polarization factor, no thermal factor.

Structure:
```
data_Ho3PuIr4
_chemical_formula_sum 'Ho3 Pu1 Ir4'
_symmetry_space_group_name_H-M 'P m m m'
_symmetry_Int_Tables_number 47
_cell_length_a 3.2639
_cell_length_b 4.9189
_cell_length_c 9.9329
_cell_angle_alpha 90.00
_cell_angle_beta 90.00
_cell_angle_gamma 90.00
loop_
_symmetry_equiv_pos_as_xyz
'x,y,z'
'-x,-y,-z'
'-x,-y,z'
'x,y,-z'
'x,-y,-z'
'-x,y,z'
'-x,y,-z'
'x,-y,z'
loop_
_atom_site_label
_atom_site_fract_x
_atom_site_fract_y
_atom_site_fract_z
Ho1 0.0000 0.0000 0.0000
Ho2 0.0000 0.5000 0.2478
Pu1 0.0000 0.0000 0.5000
Ir1 0.5000 0.0000 0.2481
Ir2 0.5000 0.5000 0.0000
Ir3 0.5000 0.5000 0.5000
```

The 12 most intense peaks (10° ≤ 2θ ≤ 90°), low angle first:
(0 0 4), 36.17°, I 28; (0 2 0), 36.53°, I 27; (1 1 2), 37.71°, I 100; (0 2 4), 52.36°, I 20; (2 0 0), 56.38°, I 8; (1 1 6), 66.07°, I 20; (1 3 2), 66.54°, I 19; (2 0 4), 68.84°, I 9; (2 2 0), 69.07°, I 9; (2 2 4), 80.54°, I 11; (0 2 8), 88.14°, I 5; (1 3 6), 89.28°, I 9

***

4.
Computed X-ray powder pattern
Compound: Ca3CePt4
Radiation: Cu Kα X-rays
Structure: a GGA-PBE-relaxed structure
Kinematic intensities with the Lorentz-polarization factor, no thermal factor.

Structure:
```
data_Ca3CePt4
_chemical_formula_sum 'Ca6 Ce2 Pt8'
_symmetry_space_group_name_H-M 'C 1 2/m 1'
_symmetry_Int_Tables_number 12
_cell_length_a 14.9504
_cell_length_b 4.9691
_cell_length_c 4.9691
_cell_angle_alpha 90.00
_cell_angle_beta 109.36
_cell_angle_gamma 90.00
loop_
_symmetry_equiv_pos_as_xyz
'x,y,z'
'-x,-y,-z'
'-x,y,-z'
'x,-y,z'
'x+1/2,y+1/2,z'
'-x+1/2,-y+1/2,-z'
'-x+1/2,y+1/2,-z'
'x+1/2,-y+1/2,z'
loop_
_atom_site_label
_atom_site_fract_x
_atom_site_fract_y
_atom_site_fract_z
Ca1 0.0000 0.0000 0.0000
Ca2 0.2464 0.0000 0.2464
Ce1 0.0000 0.5000 0.5000
Pt1 0.1193 0.0000 0.6193
Pt2 0.1193 0.5000 0.1195
```

The 12 most intense peaks (10° ≤ 2θ ≤ 90°), low angle first:
(2 0 0), 12.55°, I 4; (1 1 -1), 25.32°, I 29; (0 2 0), 36.11°, I 100; (4 2 0), 44.61°, I 9; (8 0 0), 51.86°, I 6; (2 2 -2), 52.06°, I 12; (3 1 -3), 58.74°, I 8; (8 2 0), 64.84°, I 11; (3 3 1), 64.97°, I 24; (6 2 2), 76.55°, I 7; (11 1 1), 87.51°, I 5; (4 2 -4), 87.85°, I 11

***

5.
Computed X-ray powder pattern
Compound: AcBi2PtO6
Radiation: Cu Kα X-rays
Structure: a GGA-PBE-relaxed structure
Kinematic intensities with the Lorentz-polarization factor, no thermal factor.

Structure:
```
data_AcBi2PtO6
_chemical_formula_sum 'Ac2 Bi4 Pt2 O12'
_symmetry_space_group_name_H-M 'C 1 2 1'
_symmetry_Int_Tables_number 5
_cell_length_a 12.6158
_cell_length_b 5.8434
_cell_length_c 5.0844
_cell_angle_alpha 90.00
_cell_angle_beta 111.02
_cell_angle_gamma 90.00
loop_
_symmetry_equiv_pos_as_xyz
'x,y,z'
'-x,y,-z'
'x+1/2,y+1/2,z'
'-x+1/2,y+1/2,-z'
loop_
_atom_site_label
_atom_site_fract_x
_atom_site_fract_y
_atom_site_fract_z
Ac1 0.0000 0.0000 0.0000
Bi1 0.2448 0.4141 0.2805
Pt1 0.0000 0.5052 0.5000
O1 0.0921 0.2728 0.3985
O2 0.0986 0.7427 0.4127
O3 0.2004 0.0905 0.0505
```

The 12 most intense peaks (10° ≤ 2θ ≤ 90°), low angle first:
(1 1 -1), 23.20°, I 14; (1 1 1), 27.30°, I 100; (3 1 -1), 28.23°, I 82; (4 0 0), 30.36°, I 37; (0 2 0), 30.60°, I 24; (2 2 0), 34.26°, I 14; (2 0 -2), 35.35°, I 21; (4 2 0), 43.65°, I 25; (2 0 2), 46.10°, I 16; (2 2 -2), 47.44°, I 18; (5 1 1), 51.54°, I 19; (7 1 -1), 53.18°, I 14

***

6.
Computed X-ray powder pattern
Compound: Rb3Li2MgBr6
Radiation: Cu Kα X-rays
Structure: a GGA-PBE-relaxed structure
Kinematic intensities with the Lorentz-polarization factor, no thermal factor.

Structure:
```
data_Rb3Li2MgBr6
_chemical_formula_sum 'Rb3 Li2 Mg1 Br6'
_symmetry_space_group_name_H-M 'P -3 m 1'
_symmetry_Int_Tables_number 164
_symmetry_space_group_name_Hall '-P 3 2"'
_cell_length_a 7.7564
_cell_length_b 7.7564
_cell_length_c 8.9001
_cell_angle_alpha 90.00
_cell_angle_beta 90.00
_cell_angle_gamma 120.00
loop_
_atom_site_label
_atom_site_fract_x
_atom_site_fract_y
_atom_site_fract_z
Rb1 0.0000 0.0000 0.0000
Rb2 0.3333 0.6667 0.6439
Li1 0.3333 0.6667 0.2137
Mg1 0.0000 0.0000 0.5000
Br1 0.1614 0.3227 0.3155
```

The 12 most intense peaks (10° ≤ 2θ ≤ 90°), low angle first:
(1 0 0), 13.18°, I 16; (2 0 0), 26.54°, I 10; (0 2 1), 28.40°, I 100; (0 0 3), 30.12°, I 22; (2 0 2), 33.43°, I 67; (2 2 0), 46.85°, I 25; (0 2 4), 49.12°, I 21; (4 0 1), 55.70°, I 14; (2 2 3), 56.71°, I 21; (0 4 2), 58.74°, I 20; (2 4 1), 75.68°, I 11; (4 2 2), 78.31°, I 14